[1]
For Pr2Sm6Th, a cell relaxed with GGA-PBE gives the theoretical powder diffraction line list in this record (Cu Kα, 1.54184 Å).

Crystal structure
Unit cell a=3.635 b=3.635 c=27.182 alpha=90.00 beta=90.00 gamma=120.00
Fractional positions:
Pr 0.000 0.000 0.170
Pr 0.000 0.000 0.830
Sm 0.000 0.000 0.392
Sm 0.000 0.000 0.608
Sm 0.667 0.333 0.063
Sm 0.667 0.333 0.284
Sm 0.667 0.333 0.716
Sm 0.667 0.333 0.937
Th 0.667 0.333 0.500

Peak list (8 most intense, 2θ from 15° to 90°, in order of rising 2θ)
28.35°, intensity 453; 29.58°, intensity 462; 31.31°, intensity 643; 32.88°, intensity 1000; 41.43°, intensity 299; 50.19°, intensity 348; 55.61°, intensity 305; 59.34°, intensity 390

=====

[2]
For Pr2Sm12Th, a cell relaxed with GGA-PBE gives the theoretical powder diffraction line list in this record (Cu Kα, 1.54184 Å).

Crystal structure
Unit cell a=6.824 b=6.824 c=25.092 alpha=90.00 beta=90.00 gamma=116.96
Fractional positions:
Pr 0.250 0.750 0.234
Pr 0.250 0.750 0.774
Pr 0.750 0.250 0.226
Pr 0.750 0.250 0.766
Sm 0.001 0.501 0.624
Sm 0.002 0.998 0.425
Sm 0.019 0.519 0.082
Sm 0.024 0.976 0.940
Sm 0.250 0.250 0.173
Sm 0.250 0.250 0.301
Sm 0.250 0.250 0.699
Sm 0.250 0.250 0.827
Sm 0.476 0.524 0.940
Sm 0.481 0.981 0.082
Sm 0.498 0.502 0.425
Sm 0.499 0.999 0.624
Sm 0.501 0.001 0.376
Sm 0.502 0.498 0.575
Sm 0.519 0.019 0.918
Sm 0.524 0.476 0.060
Sm 0.750 0.750 0.173
Sm 0.750 0.750 0.301
Sm 0.750 0.750 0.699
Sm 0.750 0.750 0.827
Sm 0.976 0.024 0.060
Sm 0.981 0.481 0.918
Sm 0.998 0.002 0.575
Sm 0.999 0.499 0.376
Th 0.250 0.750 0.501
Th 0.750 0.250 0.499

Peak list (8 most intense, 2θ from 15° to 90°, in order of rising 2θ)
28.79°, intensity 343; 29.26°, intensity 712; 30.24°, intensity 810; 30.74°, intensity 1000; 31.30°, intensity 332; 32.43°, intensity 767; 32.73°, intensity 603; 36.53°, intensity 670

=====

[3]
For PrSmTh, a cell relaxed with GGA-PBE gives the theoretical powder diffraction line list in this record (Cu Kα, 1.54184 Å).

Crystal structure
Unit cell a=15.492 b=3.635 c=3.635 alpha=90.00 beta=90.00 gamma=90.00
Fractional positions:
Pr 0.086 0.250 0.750
Pr 0.914 0.750 0.250
Sm 0.261 0.749 0.249
Sm 0.739 0.249 0.749
Th 0.422 0.249 0.749
Th 0.578 0.749 0.249

Peak list (8 most intense, 2θ from 15° to 90°, in order of rising 2θ)
30.06°, intensity 1000; 34.75°, intensity 162; 34.90°, intensity 344; 50.07°, intensity 233; 50.19°, intensity 124; 59.41°, intensity 128; 59.62°, intensity 293; 62.49°, intensity 121